No. 1
# Ba2Na2O3
Theoretical powder diffractogram, CuKα. Input: DFT lattice parameters and positions (PBE).
Peak positions follow from Bragg's law for the DFT cell and can differ from measured ones.

Top 10 peaks for 10 to 90 degrees two-theta, sorted by position:
2θ (°)	intensity	hkl
11.40	53	1 0 0
22.08	75	1 1 -1
26.59	90	1 1 1
27.91	100	2 1 -1
29.59	52	0 2 0
30.26	68	1 0 -2
33.66	47	0 2 1
34.67	65	3 0 0
35.04	38	2 1 1
42.83	38	1 2 -2

Cell and atoms:
abc: 8.134 6.039 5.921
angles: 90.00 107.42 90.00
Space group P2_1/c (No. 14)
One atom of each set of equivalent atoms:
1 Ba 0.168 0.054 0.306 (multiplicity 4)
2 Na 0.438 0.651 0.320 (multiplicity 4)
3 O 0.184 0.015 0.863 (multiplicity 4)
4 O 0.500 0.000 0.500 (multiplicity 2)

No. 2
# CuAs4S3Cl
Theoretical powder diffractogram, CuKα. Input: DFT lattice parameters and positions (PBE).
Peak positions follow from Bragg's law for the DFT cell and can differ from measured ones.

Top 10 peaks for 10 to 90 degrees two-theta, sorted by position:
2θ (°)	intensity	hkl
15.83	29	2 0 0
16.24	100	1 1 1
25.00	19	1 0 2
26.24	38	1 1 2
27.85	19	3 1 1
28.64	88	2 3 0
34.79	49	3 1 2
40.25	30	2 1 3
47.18	27	4 3 2
53.43	19	3 5 2

Cell and atoms:
abc: 11.192 11.255 7.514
angles: 90.00 90.00 90.00
Space group Pbcm (No. 57)
One atom of each set of equivalent atoms:
1 Cu 0.192 0.250 0.000 (multiplicity 4)
2 As 0.138 0.553 0.083 (multiplicity 8)
3 As 0.249 0.712 0.250 (multiplicity 4)
4 As 0.424 0.060 0.750 (multiplicity 4)
5 S 0.290 0.075 0.518 (multiplicity 8)
6 S 0.437 0.640 0.250 (multiplicity 4)
7 Cl 0.061 0.229 0.250 (multiplicity 4)

No. 3
# PmGePd2
Theoretical powder diffractogram, CuKα. Input: DFT lattice parameters and positions (PBE).
Peak positions follow from Bragg's law for the DFT cell and can differ from measured ones.

Top 9 peaks for 10 to 90 degrees two-theta, sorted by position:
2θ (°)	intensity	hkl
22.83	6	1 1 1
37.72	100	2 2 0
44.54	3	3 1 1
54.40	17	4 0 0
59.75	1	3 3 1
68.09	34	4 2 2
72.85	1	5 1 1
80.55	11	4 4 0
85.07	1	5 3 1

Cell and atoms:
abc: 6.746 6.746 6.746
angles: 90.00 90.00 90.00
Space group Fm-3m (No. 225)
One atom of each set of equivalent atoms:
1 Pm 0.000 0.000 0.000 (multiplicity 4)
2 Ge 0.000 0.000 0.500 (multiplicity 4)
3 Pd 0.250 0.250 0.250 (multiplicity 8)

No. 4
# Lu2ZnAg
Theoretical powder diffractogram, CuKα. Input: DFT lattice parameters and positions (PBE).
Peak positions follow from Bragg's law for the DFT cell and can differ from measured ones.

Top 10 peaks for 10 to 90 degrees two-theta, sorted by position:
2θ (°)	intensity	hkl
21.78	1	1 1 1
25.20	11	2 0 0
35.93	100	2 2 0
44.40	4	2 2 2
51.73	18	4 0 0
58.38	5	4 2 0
64.59	36	4 2 2
76.19	11	4 4 0
81.75	3	6 0 0
87.22	16	6 2 0

Cell and atoms:
abc: 7.069 7.069 7.069
angles: 90.00 90.00 90.00
Space group Fm-3m (No. 225)
One atom of each set of equivalent atoms:
1 Lu 0.250 0.250 0.250 (multiplicity 8)
2 Zn 0.000 0.000 0.000 (multiplicity 4)
3 Ag 0.000 0.000 0.500 (multiplicity 4)

No. 5
# LiAl2H6BrO6
Theoretical powder diffractogram, CuKα. Input: DFT lattice parameters and positions (PBE).
Peak positions follow from Bragg's law for the DFT cell and can differ from measured ones.

Top 10 peaks for 10 to 90 degrees two-theta, sorted by position:
2θ (°)	intensity	hkl
12.18	18	0 0 2
19.70	13	1 0 0
23.23	100	1 0 2
24.50	16	0 0 4
31.63	13	1 0 4
39.31	12	1 1 3
42.37	14	1 0 6
42.75	33	1 1 4
55.41	15	2 1 2
62.34	15	1 1 8

Cell and atoms:
abc: 5.2035 5.2035 14.5320
angles: 90.00 90.00 120.00
Space group P6_3/mcm (No. 193)
One atom of each set of equivalent atoms:
1 Li 0.0000 0.0000 0.0000 (multiplicity 2)
2 Al 0.3333 0.6667 0.0000 (multiplicity 4)
3 H 0.0000 0.3145 0.1318 (multiplicity 12)
4 Br 0.0000 0.0000 0.2500 (multiplicity 2)
5 O 0.0000 0.3691 0.0670 (multiplicity 12)

No. 6
# K2PO4
Theoretical powder diffractogram, CuKα. Input: DFT lattice parameters and positions (PBE).
Peak positions follow from Bragg's law for the DFT cell and can differ from measured ones.

Top 10 peaks for 10 to 90 degrees two-theta, sorted by position:
2θ (°)	intensity	hkl
19.65	20	1 1 -1
26.33	17	1 0 -2
27.72	26	1 1 -2
29.66	24	0 2 2
29.93	100	1 3 0
30.29	42	2 0 0
31.72	47	1 1 2
35.53	28	0 3 2
39.91	33	2 2 -2
42.55	20	0 4 2

Cell and atoms:
abc: 5.977 10.384 7.491
angles: 90.00 99.12 90.00
Space group P2_1/c (No. 14)
One atom of each set of equivalent atoms:
1 K 0.237 0.231 0.474 (multiplicity 4)
2 K 0.252 0.584 0.328 (multiplicity 4)
3 P 0.279 0.575 0.780 (multiplicity 4)
4 O 0.073 0.651 0.819 (multiplicity 4)
5 O 0.225 0.053 0.181 (multiplicity 4)
6 O 0.390 0.538 0.998 (multiplicity 4)
7 O 0.458 0.654 0.705 (multiplicity 4)

No. 7
# Rh4Pb5
Theoretical powder diffractogram, CuKα. Input: DFT lattice parameters and positions (PBE).
Peak positions follow from Bragg's law for the DFT cell and can differ from measured ones.

Top 10 peaks for 10 to 90 degrees two-theta, sorted by position:
2θ (°)	intensity	hkl
29.10	61	1 1 7
30.66	38	2 0 0
31.09	66	1 3 1
32.50	25	1 3 3
35.17	40	1 3 5
36.69	25	2 0 6
39.95	31	0 0 12
41.03	100	2 2 6
41.30	50	0 4 6
64.41	30	2 6 0

Cell and atoms:
abc: 5.833 9.995 27.084
angles: 90.00 90.00 90.00
Space group Fmmm (No. 69)
One atom of each set of equivalent atoms:
1 Rh 0.000 0.000 0.084 (multiplicity 8)
2 Rh 0.250 0.250 0.082 (multiplicity 16)
3 Rh 0.250 0.250 0.250 (multiplicity 8)
4 Pb 0.000 0.000 0.287 (multiplicity 8)
5 Pb 0.000 0.000 0.412 (multiplicity 8)
6 Pb 0.000 0.164 0.000 (multiplicity 8)
7 Pb 0.000 0.167 0.166 (multiplicity 16)

No. 8
# MgMo3WSe2S6
Theoretical powder diffractogram, CuKα. Input: DFT lattice parameters and positions (PBE).
Peak positions follow from Bragg's law for the DFT cell and can differ from measured ones.

Top 10 peaks for 10 to 90 degrees two-theta, sorted by position:
2θ (°)	intensity	hkl
10.16	100	0 0 5
12.20	24	0 0 6
32.03	16	1 0 0
33.67	12	0 1 5
36.12	23	1 0 8
42.11	27	1 0 13
43.54	8	0 1 14
49.86	6	0 1 18
57.06	12	1 1 0
58.12	7	1 1 5

Cell and atoms:
abc: 3.2282 3.2282 43.5255
angles: 90.00 90.00 120.00
Space group P3m1 (No. 156)
One atom of each set of equivalent atoms:
1 Mg 0.0000 0.0000 0.0000 (multiplicity 1)
2 Mo 0.3333 0.6667 0.9000 (multiplicity 1)
3 Mo 0.6667 0.3333 0.1003 (multiplicity 1)
4 Mo 0.6667 0.3333 0.4716 (multiplicity 1)
5 W 0.3333 0.6667 0.2818 (multiplicity 1)
6 Se 0.3333 0.6667 0.4323 (multiplicity 1)
7 Se 0.3333 0.6667 0.5109 (multiplicity 1)
8 S 0.3333 0.6667 0.0644 (multiplicity 1)
9 S 0.3333 0.6667 0.1358 (multiplicity 1)
10 S 0.6667 0.3333 0.2459 (multiplicity 1)
11 S 0.6667 0.3333 0.3177 (multiplicity 1)
12 S 0.6667 0.3333 0.8644 (multiplicity 1)
13 S 0.6667 0.3333 0.9359 (multiplicity 1)

No. 9
# GdFeNi4
Theoretical powder diffractogram, CuKα. Input: DFT lattice parameters and positions (PBE).
Peak positions follow from Bragg's law for the DFT cell and can differ from measured ones.

Top 10 peaks for 10 to 90 degrees two-theta, sorted by position:
2θ (°)	intensity	hkl
30.81	54	1 0 1
36.40	32	1 1 0
42.28	38	2 0 0
43.21	100	1 1 1
45.92	26	0 0 2
59.96	14	1 1 2
62.05	15	2 1 1
64.18	21	2 0 2
70.21	22	3 0 1
77.32	16	2 2 0

Cell and atoms:
abc: 4.9364 4.9364 3.9527
angles: 90.00 90.00 120.00
Space group P-6m2 (No. 187)
One atom of each set of equivalent atoms:
1 Gd 0.0000 0.0000 0.0000 (multiplicity 1)
2 Fe 0.3333 0.6667 0.0000 (multiplicity 1)
3 Ni 0.5003 0.0006 0.5000 (multiplicity 3)
4 Ni 0.6667 0.3333 0.0000 (multiplicity 1)